No. 1
For Ce4Sm3Sn4, a cell relaxed with GGA-PBE gives the theoretical powder XRD pattern in this record (Cu Kα (weighted mean of Kα1 and Kα2)).
Intensities are scaled so that the largest is 100.

abc: 3.944 10.490 16.012
angles: 90.00 90.00 90.00
Space group Immm (No. 71)
Asymmetric unit:
Ce 0.000 0.229 0.193 (multiplicity 8)
Sm 0.000 0.000 0.390 (multiplicity 4)
Sm 0.000 0.500 0.500 (multiplicity 2)
Sn 0.000 0.283 0.000 (multiplicity 4)
Sn 0.000 0.500 0.277 (multiplicity 4)

Largest 10 diffraction maxima, by angle, 2θ = 5–70°:
d/Å, I_rel, index
3.093, 100, 1 2 1
3.063, 29, 0 1 5
2.925, 16, 0 3 3
2.714, 58, 1 1 4
2.622, 43, 0 4 0
2.487, 40, 1 0 5
2.247, 38, 1 2 5
2.191, 17, 1 3 4
1.972, 23, 2 0 0
1.576, 18, 2 4 0

---

No. 2
For Er6Se3S2, a cell relaxed with GGA-PBE gives the theoretical powder XRD pattern in this record (Cu Kα (weighted mean of Kα1 and Kα2)).
Intensities are scaled so that the largest is 100.

abc: 3.8982 3.8982 58.5800
angles: 90.00 90.00 120.00
Space group R-3m (No. 166, hexagonal axes)
Asymmetric unit:
Er 0.0000 0.0000 0.0902 (multiplicity 6)
Er 0.0000 0.0000 0.1908 (multiplicity 6)
Er 0.0000 0.0000 0.3617 (multiplicity 6)
Se 0.0000 0.0000 0.0000 (multiplicity 3)
Se 0.0000 0.0000 0.2741 (multiplicity 6)
S 0.0000 0.0000 0.4489 (multiplicity 6)

Largest 10 diffraction maxima, by angle, 2θ = 5–70°:
d/Å, I_rel, index
3.290, 7, 1 0 4
3.254, 11, 0 0 18
3.131, 17, 1 0 7
2.925, 7, 1 0 10
2.851, 100, 0 1 11
2.091, 30, 1 0 22
1.949, 37, 1 1 0
1.672, 10, 1 1 18
1.609, 19, 2 0 11
1.426, 9, 0 2 22

---

Question: Number 2 is which compound?
Answer: Er6Se3S2